[1]
Simulated powder diffractogram
Compound: Fe5O7F3
Radiation: Cu Kα (λ = 1.5418 Å)
Structure: DFT lattice parameters and positions (GGA+U)

Crystal structure
abc: 4.674 4.676 15.201
angles: 89.86 89.95 88.34
Element x y z (fractional)
Fe 0.000 0.000 0.000
Fe 0.000 0.001 0.190
Fe 0.460 0.501 0.694
Fe 0.467 0.537 0.096
Fe 0.504 0.558 0.301
Fe 0.509 0.551 0.497
Fe 0.510 0.564 0.889
Fe 0.971 0.017 0.394
Fe 0.986 0.032 0.796
Fe 0.987 0.028 0.595
O 0.164 0.206 0.695
O 0.188 0.217 0.097
O 0.286 0.723 0.791
O 0.292 0.718 0.595
O 0.299 0.734 0.400
O 0.306 0.716 0.200
O 0.310 0.716 0.991
O 0.677 0.334 0.595
O 0.680 0.334 0.793
O 0.688 0.345 0.398
O 0.793 0.817 0.095
O 0.804 0.847 0.499
O 0.806 0.841 0.293
O 0.809 0.848 0.893
F 0.188 0.231 0.494
F 0.192 0.229 0.295
F 0.195 0.230 0.897
F 0.691 0.328 0.198
F 0.697 0.330 0.993
F 0.781 0.825 0.695

Largest 10 diffraction maxima, low angle first, 2θ from 10° to 90°:
d/Å  2θ (°)  Rel. int.
3.353  26.58  95.6
3.258  27.38  93.6
2.548  35.22  100.0
2.337  38.53  17.4
1.738  52.67  27.8
1.734  52.79  27.7
1.709  53.63  54.0
1.677  54.75  15.3
1.520  60.95  15.9
1.386  67.60  33.4

=====

[2]
Simulated powder diffractogram
Compound: Ni3P4O14
Radiation: Cu Kα (λ = 1.5418 Å)
Structure: DFT lattice parameters and positions (GGA+U)

Crystal structure
abc: 5.285 6.381 16.035
angles: 81.74 80.53 73.04
Element x y z (fractional)
Ni 0.043 0.135 0.314
Ni 0.205 0.777 0.095
Ni 0.230 0.460 0.832
Ni 0.770 0.540 0.168
Ni 0.795 0.223 0.905
Ni 0.957 0.865 0.686
P 0.177 0.612 0.291
P 0.301 0.280 0.043
P 0.361 0.925 0.822
P 0.441 0.265 0.422
P 0.559 0.735 0.578
P 0.639 0.075 0.178
P 0.699 0.720 0.957
P 0.823 0.388 0.709
O 0.002 0.532 0.721
O 0.014 0.825 0.325
O 0.121 0.484 0.086
O 0.171 0.094 0.054
O 0.171 0.152 0.842
O 0.219 0.783 0.788
O 0.258 0.826 0.591
O 0.293 0.109 0.402
O 0.328 0.335 0.510
O 0.361 0.648 0.207
O 0.383 0.049 0.231
O 0.386 0.482 0.353
O 0.408 0.344 0.951
O 0.428 0.797 0.913
O 0.572 0.203 0.087
O 0.592 0.656 0.049
O 0.614 0.518 0.647
O 0.617 0.951 0.769
O 0.639 0.352 0.793
O 0.672 0.665 0.490
O 0.707 0.891 0.598
O 0.742 0.174 0.409
O 0.781 0.217 0.212
O 0.829 0.848 0.158
O 0.829 0.906 0.946
O 0.879 0.516 0.914
O 0.986 0.175 0.675
O 0.998 0.468 0.279

Largest 10 diffraction maxima, low angle first, 2θ from 10° to 90°:
d/Å  2θ (°)  Rel. int.
7.867  11.25  50.5
5.062  17.52  45.3
4.588  19.35  36.2
3.999  22.23  44.5
3.410  26.13  40.4
3.309  26.95  72.2
3.038  29.40  38.8
2.971  30.08  87.7
2.917  30.65  42.4
2.834  31.57  100.0

=====

[3]
Simulated powder diffractogram
Compound: Li2FeF4
Radiation: Cu Kα (λ = 1.5418 Å)
Structure: DFT lattice parameters and positions (GGA+U)

Crystal structure
abc: 5.363 5.363 5.363
angles: 134.73 134.73 65.96
Element x y z (fractional)
Li 0.250 0.750 0.500
Li 0.750 0.250 0.500
Fe 0.000 0.000 0.000
F 0.000 0.500 0.500
F 0.236 0.236 0.000
F 0.500 0.000 0.500
F 0.764 0.764 0.000

Largest 10 diffraction maxima, low angle first, 2θ from 10° to 90°:
d/Å  2θ (°)  Rel. int.
4.499  19.73  23.9
3.753  23.71  100.0
2.919  30.62  15.5
2.427  37.05  18.1
2.250  40.08  31.4
2.064  43.86  48.6
1.809  50.46  22.9
1.521  60.91  29.7
1.460  63.76  13.0
1.225  78.04  12.3

=====

[4]
Simulated powder diffractogram
Compound: RbMnCl3O2
Radiation: Cu Kα (λ = 1.5418 Å)
Structure: DFT lattice parameters and positions (GGA+U)

Crystal structure
abc: 6.833 6.952 9.121
angles: 95.59 110.11 110.49
Element x y z (fractional)
Rb 0.229 0.073 0.308
Rb 0.771 0.927 0.692
Mn 0.494 0.664 0.174
Mn 0.506 0.336 0.826
Cl 0.284 0.593 0.327
Cl 0.285 0.299 0.003
Cl 0.286 0.985 0.690
Cl 0.714 0.015 0.310
Cl 0.715 0.701 0.997
Cl 0.716 0.407 0.673
O 0.300 0.741 0.044
O 0.311 0.408 0.695
O 0.689 0.592 0.305
O 0.700 0.259 0.956

Largest 10 diffraction maxima, low angle first, 2θ from 10° to 90°:
d/Å  2θ (°)  Rel. int.
5.852  15.14  69.8
5.756  15.39  69.8
5.582  15.88  64.7
4.149  21.42  49.8
2.925  30.57  52.4
2.878  31.07  48.2
2.790  32.08  58.0
2.733  32.77  97.2
2.605  34.43  100.0
2.155  41.93  50.5

=====

[5]
Simulated powder diffractogram
Compound: Ba2MgMn2O6
Radiation: Cu Kα (λ = 1.5418 Å)
Structure: DFT lattice parameters and positions (GGA+U)

Crystal structure
abc: 6.495 6.495 5.454
angles: 109.12 109.12 51.27
Element x y z (fractional)
Ba 0.207 0.207 0.191
Ba 0.793 0.793 0.809
Mg 0.000 0.000 0.500
Mn 0.500 0.500 0.000
Mn 0.500 0.500 0.500
O 0.189 0.674 0.233
O 0.326 0.811 0.767
O 0.347 0.347 0.703
O 0.653 0.653 0.297
O 0.674 0.189 0.233
O 0.811 0.326 0.767

Largest 10 diffraction maxima, low angle first, 2θ from 10° to 90°:
d/Å  2θ (°)  Rel. int.
3.902  22.79  61.4
3.299  27.03  37.0
3.058  29.20  100.0
2.879  31.07  23.7
2.810  31.85  39.0
2.711  33.04  28.9
2.126  42.51  24.0
2.107  42.93  36.9
1.951  46.55  39.7
1.666  55.12  16.8

=====

[6]
Simulated powder diffractogram
Compound: B2MoPb6O12
Radiation: Cu Kα (λ = 1.5418 Å)
Structure: DFT lattice parameters and positions (GGA+U)

Crystal structure
abc: 9.908 9.908 11.929
angles: 90.00 90.00 38.07
Element x y z (fractional)
B 0.246 0.246 0.000
B 0.246 0.246 0.500
B 0.754 0.754 0.000
B 0.754 0.754 0.500
Mo 0.233 0.767 0.750
Mo 0.767 0.233 0.250
Pb 0.010 0.404 0.250
Pb 0.155 0.633 0.092
Pb 0.155 0.633 0.408
Pb 0.367 0.845 0.092
Pb 0.367 0.845 0.408
Pb 0.404 0.010 0.750
Pb 0.596 0.990 0.250
Pb 0.633 0.155 0.592
Pb 0.633 0.155 0.908
Pb 0.845 0.367 0.592
Pb 0.845 0.367 0.908
Pb 0.990 0.596 0.750
O 0.017 0.281 0.750
O 0.076 0.924 0.626
O 0.076 0.924 0.874
O 0.171 0.171 0.000
O 0.171 0.171 0.500
O 0.228 0.338 0.097
O 0.228 0.338 0.403
O 0.281 0.017 0.250
O 0.324 0.520 0.750
O 0.338 0.228 0.597
O 0.338 0.228 0.903
O 0.480 0.676 0.750
O 0.520 0.324 0.250
O 0.662 0.772 0.097
O 0.662 0.772 0.403
O 0.676 0.480 0.250
O 0.719 0.983 0.750
O 0.772 0.662 0.597
O 0.772 0.662 0.903
O 0.829 0.829 0.000
O 0.829 0.829 0.500
O 0.924 0.076 0.126
O 0.924 0.076 0.374
O 0.983 0.719 0.250

Largest 10 diffraction maxima, low angle first, 2θ from 10° to 90°:
d/Å  2θ (°)  Rel. int.
3.684  24.16  22.8
3.333  26.75  90.4
3.232  27.60  38.9
3.127  28.54  100.0
2.977  30.02  26.2
2.515  35.71  21.1
2.429  37.01  17.5
1.986  45.67  33.8
1.845  49.41  17.9
1.773  51.54  29.7

=====

[7]
Simulated powder diffractogram
Compound: LiFeF5
Radiation: Cu Kα (λ = 1.5418 Å)
Structure: DFT lattice parameters and positions (GGA+U)

Crystal structure
abc: 5.214 5.214 7.719
angles: 112.24 112.24 71.21
Element x y z (fractional)
Li 0.002 0.998 0.750
Li 0.998 0.002 0.250
Fe 0.500 0.500 0.000
Fe 0.500 0.500 0.500
F 0.191 0.770 0.043
F 0.230 0.809 0.457
F 0.235 0.287 0.373
F 0.287 0.235 0.873
F 0.404 0.596 0.750
F 0.596 0.404 0.250
F 0.713 0.765 0.127
F 0.765 0.713 0.627
F 0.770 0.191 0.543
F 0.809 0.230 0.957

Largest 10 diffraction maxima, low angle first, 2θ from 10° to 90°:
d/Å  2θ (°)  Rel. int.
4.720  18.80  100.0
3.752  23.71  49.6
3.449  25.84  26.8
3.416  26.09  25.2
3.257  27.38  61.4
3.036  29.42  22.1
1.954  46.48  13.4
1.930  47.09  16.8
1.876  48.53  21.1
1.792  50.96  32.1

=====

[8]
Simulated powder diffractogram
Compound: CaNiBiO5
Radiation: Cu Kα (λ = 1.5418 Å)
Structure: DFT lattice parameters and positions (GGA+U)

Crystal structure
abc: 5.847 10.633 8.322
angles: 90.00 107.20 90.00
Element x y z (fractional)
Ca 0.041 0.094 0.193
Ca 0.041 0.406 0.693
Ca 0.959 0.594 0.307
Ca 0.959 0.906 0.807
Ni 0.356 0.631 0.045
Ni 0.356 0.869 0.545
Ni 0.644 0.131 0.455
Ni 0.644 0.369 0.955
Bi 0.493 0.100 0.843
Bi 0.493 0.400 0.343
Bi 0.507 0.600 0.657
Bi 0.507 0.900 0.157
O 0.205 0.714 0.517
O 0.205 0.786 0.017
O 0.241 0.525 0.177
O 0.241 0.975 0.677
O 0.279 0.043 0.009
O 0.279 0.457 0.509
O 0.314 0.567 0.834
O 0.314 0.933 0.334
O 0.355 0.216 0.335
O 0.355 0.284 0.835
O 0.645 0.716 0.165
O 0.645 0.784 0.665
O 0.686 0.067 0.666
O 0.686 0.433 0.166
O 0.721 0.543 0.491
O 0.721 0.957 0.991
O 0.759 0.025 0.323
O 0.759 0.475 0.823
O 0.795 0.214 0.983
O 0.795 0.286 0.483

Largest 10 diffraction maxima, low angle first, 2θ from 10° to 90°:
d/Å  2θ (°)  Rel. int.
6.367  13.91  23.1
5.586  15.87  100.0
4.419  20.09  27.5
3.781  23.53  28.8
3.723  23.90  30.4
3.591  24.79  60.8
3.218  27.72  73.1
2.644  33.91  25.0
2.597  34.54  27.0
2.227  40.50  18.4

=====

[9]
Simulated powder diffractogram
Compound: Sr2CaMoO6
Radiation: Cu Kα (λ = 1.5418 Å)
Structure: DFT lattice parameters and positions (GGA+U)

Crystal structure
abc: 5.811 8.336 6.133
angles: 90.00 90.00 90.00
Element x y z (fractional)
Sr 0.250 0.018 0.197
Sr 0.250 0.482 0.197
Sr 0.750 0.518 0.803
Sr 0.750 0.982 0.803
Ca 0.250 0.250 0.722
Ca 0.750 0.750 0.278
Mo 0.250 0.750 0.765
Mo 0.750 0.250 0.235
O 0.003 0.750 0.562
O 0.018 0.750 0.006
O 0.250 0.518 0.782
O 0.250 0.982 0.782
O 0.482 0.750 0.006
O 0.497 0.750 0.562
O 0.503 0.250 0.438
O 0.518 0.250 0.994
O 0.750 0.018 0.218
O 0.750 0.482 0.218
O 0.982 0.250 0.994
O 0.997 0.250 0.438

Largest 10 diffraction maxima, low angle first, 2θ from 10° to 90°:
d/Å  2θ (°)  Rel. int.
6.133  14.44  9.7
4.940  17.96  20.3
3.066  29.12  23.2
2.965  30.14  100.0
2.905  30.77  26.3
2.109  42.88  32.6
2.084  43.42  18.7
1.750  52.27  11.2
1.689  54.33  18.8
1.482  62.67  18.8

=====

[10]
Simulated powder diffractogram
Compound: Li2TiMnO4
Radiation: Cu Kα (λ = 1.5418 Å)
Structure: DFT lattice parameters and positions (GGA+U)

Crystal structure
abc: 5.220 3.008 5.363
angles: 90.00 110.79 90.00
Element x y z (fractional)
Li 0.000 0.000 0.000
Li 0.000 0.500 0.500
Ti 0.500 0.000 0.500
Mn 0.500 0.500 0.000
O 0.266 0.500 0.277
O 0.276 0.000 0.725
O 0.724 0.000 0.275
O 0.734 0.500 0.723

Largest 10 diffraction maxima, low angle first, 2θ from 10° to 90°:
d/Å  2θ (°)  Rel. int.
4.880  18.18  100.0
2.644  33.91  13.9
2.579  34.78  31.2
2.177  41.48  30.6
2.125  42.53  59.9
1.960  46.32  8.8
1.630  56.45  9.0
1.537  60.23  16.6
1.505  61.63  24.0
1.502  61.76  7.9

=====

Please write out number 10 again, unchanged.
Simulated powder diffractogram
Compound: Li2TiMnO4
Radiation: Cu Kα (λ = 1.5418 Å)
Structure: DFT lattice parameters and positions (GGA+U)

Crystal structure
abc: 5.220 3.008 5.363
angles: 90.00 110.79 90.00
Element x y z (fractional)
Li 0.000 0.000 0.000
Li 0.000 0.500 0.500
Ti 0.500 0.000 0.500
Mn 0.500 0.500 0.000
O 0.266 0.500 0.277
O 0.276 0.000 0.725
O 0.724 0.000 0.275
O 0.734 0.500 0.723

Largest 10 diffraction maxima, low angle first, 2θ from 10° to 90°:
d/Å  2θ (°)  Rel. int.
4.880  18.18  100.0
2.644  33.91  13.9
2.579  34.78  31.2
2.177  41.48  30.6
2.125  42.53  59.9
1.960  46.32  8.8
1.630  56.45  9.0
1.537  60.23  16.6
1.505  61.63  24.0
1.502  61.76  7.9

=====

- Which formula does entry 3 have?
  Li2FeF4